# 1
Structure and theoretical X-ray powder pattern of NpGa4Au (a structure optimized by DFT (PBE); CuKα).

Main lines, low angle first (2θ = 15–90°):
(0 1 -1), 18.84 deg, d 4.709, I 31; (1 0 -1), 23.36 deg, d 3.808, I 72; (0 1 1), 29.35 deg, d 3.043, I 27; (0 2 0), 35.57 deg, d 2.524, I 46; (1 1 -2), 35.82 deg, d 2.507, I 100; (1 0 1), 37.53 deg, d 2.397, I 55; (-1 1 2), 37.74 deg, d 2.384, I 54; (0 2 -2), 38.21 deg, d 2.355, I 24; (-2 1 1), 43.48 deg, d 2.082, I 37; (0 1 -3), 48.21 deg, d 1.888, I 24

Atomic structure:
Unit cell a=4.1631 b=5.9100 c=6.0423 alpha=104.05 beta=109.95 gamma=110.45
Space group P-1 (No. 2)
Inequivalent atoms, fractional coordinates:
Np  0.0000  0.0000  0.0000
Ga  0.1670  0.5132  0.8222
Ga  0.3812  0.1052  0.6582
Au  0.5000  0.5000  0.5000


# 2
Structure and theoretical X-ray powder pattern of Sc4Os3Au (a structure optimized by DFT (PBE); CuKα).

Main lines, low angle first (2θ = 15–90°):
(0 0 2), 27.06 deg, d 3.295, I 25; (1 1 0), 27.57 deg, d 3.235, I 47; (1 1 2), 39.02 deg, d 2.309, I 100; (2 0 0), 39.39 deg, d 2.288, I 49; (2 0 2), 48.44 deg, d 1.879, I 22; (2 2 0), 56.93 deg, d 1.618, I 17; (1 1 4), 63.35 deg, d 1.468, I 10; (2 0 4), 70.43 deg, d 1.337, I 17; (3 1 2), 71.17 deg, d 1.325, I 34; (2 2 4), 83.81 deg, d 1.154, I 11

Atomic structure:
Unit cell a=4.5752 b=4.5752 c=6.5904 alpha=90.00 beta=90.00 gamma=90.00
Space group P4/mmm (No. 123)
Inequivalent atoms, fractional coordinates:
Sc  0.0000  0.5000  0.2386
Os  0.0000  0.0000  0.0000
Os  0.0000  0.0000  0.5000
Os  0.5000  0.5000  0.0000
Au  0.5000  0.5000  0.5000


# 3
Structure and theoretical X-ray powder pattern of LaDy2Ho5Er (a structure optimized by DFT (PBE); CuKα).

Main lines, low angle first (2θ = 15–90°):
(2 2 0), 28.17 deg, d 3.168, I 46; (2 1 3), 28.83 deg, d 3.097, I 43; (2 0 4), 31.57 deg, d 2.834, I 100; (3 1 2), 33.92 deg, d 2.643, I 12; (3 2 1), 36.68 deg, d 2.450, I 19; (2 1 5), 38.06 deg, d 2.364, I 15; (4 1 1), 42.03 deg, d 2.150, I 15; (0 0 8), 49.84 deg, d 1.830, I 15; (4 2 4), 52.03 deg, d 1.758, I 17; (2 2 8), 58.23 deg, d 1.584, I 25

Atomic structure:
Unit cell a=8.9611 b=8.9611 c=14.6387 alpha=90.00 beta=90.00 gamma=90.00
Space group I4/mcm (No. 140)
Inequivalent atoms, fractional coordinates:
La  0.0000  0.0000  0.2500
Dy  0.1123  0.3877  0.0000
Ho  0.0000  0.0000  0.0000
Ho  0.2046  0.2954  0.3695
Er  0.0000  0.5000  0.2500


# 4
Structure and theoretical X-ray powder pattern of Rb2LiHf3Se8 (a structure optimized by DFT (PBE); CuKα).

Main lines, low angle first (2θ = 15–90°):
(1 1 3), 25.35 deg, d 3.513, I 32; (0 2 1), 27.03 deg, d 3.299, I 19; (0 2 4), 30.16 deg, d 2.963, I 100; (0 2 7), 36.19 deg, d 2.482, I 63; (2 0 8), 38.65 deg, d 2.329, I 33; (2 0 11), 47.03 deg, d 1.932, I 27; (2 2 0), 47.35 deg, d 1.920, I 45; (2 2 3), 48.56 deg, d 1.875, I 19; (2 0 14), 56.57 deg, d 1.627, I 15; (4 0 4), 57.17 deg, d 1.611, I 16

Atomic structure:
Unit cell a=7.6796 b=7.6796 c=26.1128 alpha=90.00 beta=90.00 gamma=120.00
Space group R3m (No. 160, hexagonal axes)
Inequivalent atoms, fractional coordinates:
Rb  0.0000  0.0000  0.0000
Rb  0.0000  0.0000  0.3500
Li  0.0000  0.0000  0.8480
Hf  0.1694  0.3387  0.1826
Se  0.0000  0.0000  0.1248
Se  0.0000  0.0000  0.5775
Se  0.0086  0.5043  0.1236
Se  0.1727  0.3453  0.9080


# 5
Structure and theoretical X-ray powder pattern of ScAuS2 (a structure optimized by DFT (PBE); CuKα).

Main lines, low angle first (2θ = 15–90°):
(0 0 4), 24.88 deg, d 3.579, I 56; (0 1 2), 26.93 deg, d 3.311, I 78; (1 0 -4), 28.02 deg, d 3.184, I 27; (1 0 4), 28.18 deg, d 3.166, I 38; (2 0 2), 28.87 deg, d 3.093, I 23; (1 1 -2), 29.94 deg, d 2.984, I 100; (2 1 0), 35.47 deg, d 2.531, I 18; (3 0 -2), 41.24 deg, d 2.189, I 25; (0 1 6), 45.09 deg, d 2.011, I 19; (2 0 6), 46.46 deg, d 1.955, I 23

Atomic structure:
Unit cell a=6.8830 b=3.7350 c=14.3157 alpha=90.00 beta=90.40 gamma=90.00
Space group P2_1/c (No. 14)
Inequivalent atoms, fractional coordinates:
Sc  0.1935  0.9997  0.3180
Au  0.4386  0.1972  0.1215
S  0.1717  0.0075  0.6879
S  0.2583  0.5023  0.4337


# 6
Structure and theoretical X-ray powder pattern of AsPt2W (a structure optimized by DFT (PBE); CuKα).

Main lines, low angle first (2θ = 15–90°):
(1 0 2), 38.60 deg, d 2.332, I 100; (0 0 4), 44.54 deg, d 2.034, I 15; (1 1 0), 45.04 deg, d 2.013, I 34; (1 0 3), 46.23 deg, d 1.964, I 9; (1 1 4), 65.21 deg, d 1.431, I 19; (2 0 0), 65.60 deg, d 1.423, I 11; (1 1 5), 75.06 deg, d 1.265, I 4; (1 0 6), 78.05 deg, d 1.224, I 9; (2 1 2), 78.78 deg, d 1.215, I 26; (2 0 4), 82.77 deg, d 1.166, I 10

Atomic structure:
Unit cell a=2.8463 b=2.8463 c=8.1369 alpha=90.00 beta=90.00 gamma=90.00
Space group P4/mmm (No. 123)
Inequivalent atoms, fractional coordinates:
As  0.0000  0.0000  0.0000
Pt  0.5000  0.5000  0.2703
W  0.0000  0.0000  0.5000


# 7
Structure and theoretical X-ray powder pattern of Sc6C2N (a structure optimized by DFT (PBE); CuKα).

Main lines, low angle first (2θ = 15–90°):
(1 0 1), 18.72 deg, d 4.740, I 16; (1 1 0), 31.32 deg, d 2.856, I 12; (0 0 6), 32.42 deg, d 2.762, I 23; (1 1 3), 35.38 deg, d 2.537, I 100; (1 1 6), 45.71 deg, d 1.985, I 26; (3 0 0), 55.74 deg, d 1.649, I 17; (2 -1 9), 59.76 deg, d 1.547, I 19; (3 0 6), 65.98 deg, d 1.416, I 12; (0 0 12), 67.80 deg, d 1.382, I 13; (2 2 9), 86.19 deg, d 1.128, I 5

Atomic structure:
Unit cell a=5.7124 b=5.7124 c=16.5699 alpha=90.00 beta=90.00 gamma=120.00
Space group R-3 (No. 148, hexagonal axes)
Inequivalent atoms, fractional coordinates:
Sc  0.0154  0.7003  0.4141
C  0.0000  0.0000  0.3241
N  0.0000  0.0000  0.5000